Record 1
Structure and simulated powder XRD pattern of KRb2MnO4 (a PBE+U-relaxed structure; a wavelength of 1.5418 Å).
Kinematic intensities with the Lorentz-polarization factor, no thermal factor.

The 12 most intense peaks (2θ = 5–70°), low angle first:
13.71°, d 6.459, rel. 8; 27.62°, d 3.229, rel. 26; 28.75°, d 3.105, rel. 32; 29.48°, d 3.030, rel. 100; 38.27°, d 2.352, rel. 8; 40.29°, d 2.238, rel. 28; 43.99°, d 2.058, rel. 11; 50.02°, d 1.824, rel. 18; 51.39°, d 1.778, rel. 19; 52.74°, d 1.736, rel. 8; 61.17°, d 1.515, rel. 13; 66.67°, d 1.403, rel. 8

Cell and atoms:
```
data_KRb2MnO4
_cell_length_a 6.210
_cell_length_b 8.233
_cell_length_c 6.459
_cell_angle_alpha 90.00
_cell_angle_beta 90.00
_cell_angle_gamma 90.00
_space_group_name_H-M_alt 'P m m n'
_space_group_IT_number 59
loop_
_space_group_symop_operation_xyz
'x,y,z'
'-x,-y,-z'
'-x+1/2,-y+1/2,z'
'x+1/2,y+1/2,-z'
'x+1/2,-y,-z'
'-x+1/2,y,z'
'-x,y+1/2,-z'
'x,-y+1/2,z'
loop_
_atom_site_label
_atom_site_fract_x
_atom_site_fract_y
_atom_site_fract_z
_atom_site_occupancy
K1 0.250 0.250 0.238 1
Rb1 0.250 0.005 0.725 1
Mn1 0.250 0.750 0.299 1
O1 0.028 0.750 0.462 1
O2 0.250 0.575 0.154 1
```


Record 2
Structure and simulated powder XRD pattern of KMn3Se4O12 (a PBE+U-relaxed structure; a wavelength of 1.5418 Å).
Kinematic intensities with the Lorentz-polarization factor, no thermal factor.

The 12 most intense peaks (2θ = 5–70°), low angle first:
15.20°, d 5.829, rel. 19; 26.08°, d 3.417, rel. 67; 26.49°, d 3.365, rel. 30; 29.22°, d 3.056, rel. 100; 30.68°, d 2.914, rel. 26; 34.08°, d 2.631, rel. 37; 38.40°, d 2.344, rel. 24; 50.88°, d 1.795, rel. 20; 51.11°, d 1.787, rel. 24; 54.99°, d 1.670, rel. 23; 56.96°, d 1.617, rel. 28; 69.64°, d 1.350, rel. 16

Cell and atoms:
```
data_KMn3Se4O12
_cell_length_a 11.6576
_cell_length_b 11.6576
_cell_length_c 7.6809
_cell_angle_alpha 90.00
_cell_angle_beta 90.00
_cell_angle_gamma 120.00
_space_group_name_H-M_alt 'R 3 2'
_space_group_IT_number 155
_space_group_name_Hall 'R 3 2"'
loop_
_atom_site_label
_atom_site_fract_x
_atom_site_fract_y
_atom_site_fract_z
_atom_site_occupancy
K1 0.0000 0.0000 0.0000 1
Mn1 0.0000 0.5691 0.0000 1
Se1 0.0000 0.0000 0.5000 1
Se2 0.0000 0.4297 0.5000 1
O1 0.0000 0.6265 0.5000 1
O2 0.0000 0.8425 0.5000 1
O3 0.0632 0.2594 0.1667 1
```


Record 3
Structure and simulated powder XRD pattern of K3Sm2MnO6 (a PBE+U-relaxed structure; a wavelength of 1.5418 Å).
Kinematic intensities with the Lorentz-polarization factor, no thermal factor.

The 12 most intense peaks (2θ = 5–70°), low angle first:
14.14°, d 6.265, rel. 100; 28.49°, d 3.133, rel. 44; 29.34°, d 3.044, rel. 14; 30.56°, d 2.925, rel. 19; 30.84°, d 2.899, rel. 32; 31.51°, d 2.839, rel. 58; 34.48°, d 2.601, rel. 51; 35.99°, d 2.495, rel. 84; 49.18°, d 1.853, rel. 30; 52.18°, d 1.753, rel. 28; 58.44°, d 1.579, rel. 14; 62.34°, d 1.490, rel. 15

Cell and atoms:
```
data_K3Sm2MnO6
_cell_length_a 6.147
_cell_length_b 10.165
_cell_length_c 6.642
_cell_angle_alpha 90.00
_cell_angle_beta 109.38
_cell_angle_gamma 90.00
_space_group_name_H-M_alt 'C 1 2/m 1'
_space_group_IT_number 12
_space_group_name_Hall '-C 2y'
loop_
_atom_site_label
_atom_site_fract_x
_atom_site_fract_y
_atom_site_fract_z
_atom_site_occupancy
K1 0.000 0.000 0.000 1
K2 0.000 0.338 0.000 1
Sm1 0.000 0.164 0.500 1
Mn1 0.000 0.500 0.500 1
O1 0.208 0.354 0.670 1
O2 0.219 0.000 0.713 1
```


Record 4
Structure and simulated powder XRD pattern of K2SrMnO4 (a PBE+U-relaxed structure; a wavelength of 1.5418 Å).
Kinematic intensities with the Lorentz-polarization factor, no thermal factor.

The 12 most intense peaks (2θ = 5–70°), low angle first:
14.77°, d 5.999, rel. 100; 16.14°, d 5.491, rel. 29; 26.55°, d 3.357, rel. 22; 28.91°, d 3.088, rel. 12; 32.06°, d 2.792, rel. 15; 32.26°, d 2.775, rel. 22; 32.62°, d 2.746, rel. 12; 35.65°, d 2.519, rel. 23; 40.33°, d 2.237, rel. 12; 47.32°, d 1.921, rel. 9; 47.91°, d 1.899, rel. 9; 55.70°, d 1.650, rel. 13

Cell and atoms:
```
data_K2SrMnO4
_cell_length_a 6.213
_cell_length_b 12.352
_cell_length_c 23.994
_cell_angle_alpha 90.00
_cell_angle_beta 90.00
_cell_angle_gamma 90.00
_space_group_name_H-M_alt 'F d d d'
_space_group_IT_number 70
loop_
_space_group_symop_operation_xyz
'x,y,z'
'-x,-y,-z'
'-x+1/4,-y+1/4,z'
'x+1/4,y+1/4,-z'
'x,-y+1/4,-z+1/4'
'-x,y+1/4,z+1/4'
'-x+1/4,y,-z+1/4'
'x+1/4,-y,z+1/4'
'x,y+1/2,z+1/2'
'-x,-y+1/2,-z+1/2'
'-x+1/4,-y+3/4,z+1/2'
'x+1/4,y+3/4,-z+1/2'
'x,-y+3/4,-z+3/4'
'-x,y+3/4,z+3/4'
'-x+1/4,y+1/2,-z+3/4'
'x+1/4,-y+1/2,z+3/4'
'x+1/2,y,z+1/2'
'-x+1/2,-y,-z+1/2'
'-x+3/4,-y+1/4,z+1/2'
'x+3/4,y+1/4,-z+1/2'
'x+1/2,-y+1/4,-z+3/4'
'-x+1/2,y+1/4,z+3/4'
'-x+3/4,y,-z+3/4'
'x+3/4,-y,z+3/4'
'x+1/2,y+1/2,z'
'-x+1/2,-y+1/2,-z'
'-x+3/4,-y+3/4,z'
'x+3/4,y+3/4,-z'
'x+1/2,-y+3/4,-z+1/4'
'-x+1/2,y+3/4,z+1/4'
'-x+3/4,y+1/2,-z+1/4'
'x+3/4,-y+1/2,z+1/4'
loop_
_atom_site_label
_atom_site_fract_x
_atom_site_fract_y
_atom_site_fract_z
_atom_site_occupancy
K1 0.125 0.125 0.332 1
Sr1 0.125 0.125 0.125 1
Mn1 0.125 0.125 0.625 1
O1 0.069 0.283 0.842 1
```


Record 5
Structure and simulated powder XRD pattern of KMnTe2O8 (a PBE+U-relaxed structure; a wavelength of 1.5418 Å).
Kinematic intensities with the Lorentz-polarization factor, no thermal factor.

The 12 most intense peaks (2θ = 5–70°), low angle first:
10.67°, d 8.291, rel. 18; 21.93°, d 4.053, rel. 100; 28.87°, d 3.093, rel. 43; 33.41°, d 2.682, rel. 36; 37.88°, d 2.375, rel. 12; 40.33°, d 2.237, rel. 16; 44.72°, d 2.026, rel. 13; 48.07°, d 1.893, rel. 9; 53.34°, d 1.718, rel. 17; 56.08°, d 1.640, rel. 11; 56.96°, d 1.617, rel. 12; 59.74°, d 1.548, rel. 16

Cell and atoms:
```
data_KMnTe2O8
_cell_length_a 5.3640
_cell_length_b 5.3640
_cell_length_c 8.2907
_cell_angle_alpha 90.00
_cell_angle_beta 90.00
_cell_angle_gamma 120.00
_space_group_name_H-M_alt 'P -3'
_space_group_IT_number 147
_space_group_name_Hall '-P 3'
loop_
_atom_site_label
_atom_site_fract_x
_atom_site_fract_y
_atom_site_fract_z
_atom_site_occupancy
K1 0.0000 0.0000 0.0000 1
Mn1 0.0000 0.0000 0.5000 1
Te1 0.3333 0.6667 0.2869 1
O1 0.0259 0.7114 0.3535 1
O2 0.3333 0.6667 0.0675 1
```


Record 6
Structure and simulated powder XRD pattern of K2MnVO5 (a PBE+U-relaxed structure; a wavelength of 1.5418 Å).
Kinematic intensities with the Lorentz-polarization factor, no thermal factor.

The 12 most intense peaks (2θ = 5–70°), low angle first:
12.58°, d 7.036, rel. 25; 13.40°, d 6.606, rel. 100; 14.26°, d 6.210, rel. 89; 18.42°, d 4.816, rel. 63; 25.32°, d 3.518, rel. 19; 29.89°, d 2.990, rel. 31; 31.31°, d 2.857, rel. 55; 32.02°, d 2.795, rel. 94; 36.86°, d 2.438, rel. 30; 37.35°, d 2.408, rel. 50; 48.64°, d 1.872, rel. 26; 58.16°, d 1.586, rel. 28

Cell and atoms:
```
data_K2MnVO5
_cell_length_a 3.744
_cell_length_b 14.072
_cell_length_c 13.211
_cell_angle_alpha 90.00
_cell_angle_beta 90.00
_cell_angle_gamma 90.00
_space_group_name_H-M_alt 'C m c 21'
_space_group_IT_number 36
_space_group_name_Hall 'C 2c -2'
loop_
_atom_site_label
_atom_site_fract_x
_atom_site_fract_y
_atom_site_fract_z
_atom_site_occupancy
K1 0.000 0.105 0.000 1
K2 0.000 0.107 0.723 1
Mn1 0.000 0.222 0.354 1
V1 0.000 0.380 0.717 1
O1 0.000 0.110 0.259 1
O2 0.000 0.292 0.632 1
O3 0.000 0.311 0.855 1
O4 0.000 0.348 0.368 1
O5 0.000 0.483 0.649 1
```


Record 7
Structure and simulated powder XRD pattern of K3MnV2O8 (a PBE+U-relaxed structure; a wavelength of 1.5418 Å).
Kinematic intensities with the Lorentz-polarization factor, no thermal factor.

The 12 most intense peaks (2θ = 5–70°), low angle first:
11.78°, d 7.512, rel. 31; 21.63°, d 4.108, rel. 23; 29.96°, d 2.983, rel. 73; 31.58°, d 2.833, rel. 100; 35.86°, d 2.504, rel. 13; 44.09°, d 2.054, rel. 43; 48.50°, d 1.877, rel. 7; 52.19°, d 1.753, rel. 10; 55.24°, d 1.663, rel. 23; 56.24°, d 1.636, rel. 16; 59.01°, d 1.565, rel. 21; 65.95°, d 1.416, rel. 19

Cell and atoms:
```
data_K3MnV2O8
_cell_length_a 5.6657
_cell_length_b 5.6657
_cell_length_c 7.5125
_cell_angle_alpha 90.00
_cell_angle_beta 90.00
_cell_angle_gamma 120.00
_space_group_name_H-M_alt 'P -3 m 1'
_space_group_IT_number 164
_space_group_name_Hall '-P 3 2"'
loop_
_atom_site_label
_atom_site_fract_x
_atom_site_fract_y
_atom_site_fract_z
_atom_site_occupancy
K1 0.0000 0.0000 0.0000 1
K2 0.3333 0.6667 0.6959 1
Mn1 0.0000 0.0000 0.5000 1
V1 0.3333 0.6667 0.2681 1
O1 0.1633 0.3267 0.3477 1
O2 0.3333 0.6667 0.0439 1
```


Record 8
Structure and simulated powder XRD pattern of KMnV2O8 (a PBE+U-relaxed structure; a wavelength of 1.5418 Å).
Kinematic intensities with the Lorentz-polarization factor, no thermal factor.

The 12 most intense peaks (2θ = 5–70°), low angle first:
11.75°, d 7.529, rel. 23; 18.99°, d 4.675, rel. 13; 22.39°, d 3.971, rel. 100; 30.49°, d 2.932, rel. 53; 33.20°, d 2.699, rel. 46; 35.78°, d 2.510, rel. 8; 45.69°, d 1.986, rel. 21; 52.40°, d 1.746, rel. 7; 53.25°, d 1.720, rel. 15; 57.63°, d 1.599, rel. 17; 59.31°, d 1.558, rel. 12; 59.91°, d 1.544, rel. 15

Cell and atoms:
```
data_KMnV2O8
_cell_length_a 5.3977
_cell_length_b 5.3977
_cell_length_c 7.5290
_cell_angle_alpha 90.00
_cell_angle_beta 90.00
_cell_angle_gamma 120.00
_space_group_name_H-M_alt 'P -3'
_space_group_IT_number 147
_space_group_name_Hall '-P 3'
loop_
_atom_site_label
_atom_site_fract_x
_atom_site_fract_y
_atom_site_fract_z
_atom_site_occupancy
K1 0.0000 0.0000 0.0000 1
Mn1 0.0000 0.0000 0.5000 1
V1 0.3333 0.6667 0.2831 1
O1 0.0862 0.7700 0.3509 1
O2 0.3333 0.6667 0.0601 1
```


Record 9
Structure and simulated powder XRD pattern of K2MnZn2O4 (a PBE+U-relaxed structure; a wavelength of 1.5418 Å).
Kinematic intensities with the Lorentz-polarization factor, no thermal factor.

The 12 most intense peaks (2θ = 5–70°), low angle first:
14.75°, d 6.005, rel. 100; 29.76°, d 3.002, rel. 47; 32.52°, d 2.753, rel. 15; 34.12°, d 2.628, rel. 14; 34.60°, d 2.592, rel. 58; 39.68°, d 2.272, rel. 72; 41.33°, d 2.185, rel. 26; 41.48°, d 2.177, rel. 14; 52.21°, d 1.752, rel. 33; 55.37°, d 1.659, rel. 16; 63.10°, d 1.473, rel. 18; 64.14°, d 1.452, rel. 12

Cell and atoms:
```
data_K2MnZn2O4
_cell_length_a 13.663
_cell_length_b 3.318
_cell_length_c 6.282
_cell_angle_alpha 90.00
_cell_angle_beta 107.09
_cell_angle_gamma 90.00
_space_group_name_H-M_alt 'C 1 2/m 1'
_space_group_IT_number 12
_space_group_name_Hall '-C 2y'
loop_
_atom_site_label
_atom_site_fract_x
_atom_site_fract_y
_atom_site_fract_z
_atom_site_occupancy
K1 0.124 0.000 0.027 1
Mn1 0.000 0.000 0.500 1
Zn1 0.170 0.500 0.502 1
O1 0.030 0.500 0.300 1
O2 0.218 0.000 0.680 1
```